Calculated powder diffraction line list
Compound: CdOs3
Radiation: λ = 1.5418 Å (Cu Kα)
Structure: a structure optimized by DFT (PBE)

Atomic structure:
Lattice parameters (Å, degrees): 2.764 3.846 5.925 90.00 90.00 90.00
Positions (direct):
Cd: 0.000 0.000 0.000
Os: 0.000 0.000 0.500
Os: 0.500 0.500 0.279
Os: 0.500 0.500 0.721

Top 12 peaks for 2θ = 10–90°, by intensity:
| Position (°2θ) | intensity |
| --- | --- |
| 38.3 | 100 |
| 40.2 | 95 |
| 44.8 | 64 |
| 67.2 | 39 |
| 47.3 | 30 |
| 80.7 | 23 |
| 15.0 | 22 |
| 77.1 | 21 |
| 83.0 | 12 |
| 81.9 | 11 |
| 62.7 | 11 |
| 86.8 | 11 |

=====

Calculated powder diffraction line list
Compound: CdPOs2
Radiation: λ = 1.5418 Å (Cu Kα)
Structure: a structure optimized by DFT (PBE)

Atomic structure:
Lattice parameters (Å, degrees): 2.849 3.604 6.344 90.00 90.00 90.00
Positions (direct):
Cd: 0.000 0.000 0.000
P: 0.500 0.500 0.660
Os: 0.000 0.000 0.520
Os: 0.500 0.500 0.285

Top 12 peaks for 2θ = 10–90°, by intensity:
| Position (°2θ) | intensity |
| --- | --- |
| 37.8 | 100 |
| 40.4 | 94 |
| 14.0 | 77 |
| 42.7 | 71 |
| 68.3 | 39 |
| 28.5 | 28 |
| 50.7 | 24 |
| 78.2 | 24 |
| 73.2 | 23 |
| 42.9 | 20 |
| 34.5 | 17 |
| 50.0 | 14 |

=====

Calculated powder diffraction line list
Compound: Pr5Cd2Os2
Radiation: λ = 1.5418 Å (Cu Kα)
Structure: a structure optimized by DFT (PBE)

Atomic structure:
Lattice parameters (Å, degrees): 9.236 9.236 7.928 90.00 90.00 49.83
Positions (direct):
Pr: 0.000 0.000 0.000
Pr: 0.064 0.695 0.685
Pr: 0.195 0.564 0.185
Pr: 0.305 0.936 0.685
Pr: 0.436 0.805 0.185
Pr: 0.500 0.500 0.500
Pr: 0.564 0.195 0.815
Pr: 0.695 0.064 0.315
Pr: 0.805 0.436 0.815
Pr: 0.936 0.305 0.315
Cd: 0.223 0.223 0.000
Cd: 0.277 0.277 0.500
Cd: 0.723 0.723 0.500
Cd: 0.777 0.777 0.000
Os: 0.111 0.889 0.386
Os: 0.389 0.611 0.886
Os: 0.611 0.389 0.114
Os: 0.889 0.111 0.614

Top 12 peaks for 2θ = 10–90°, by intensity:
| Position (°2θ) | intensity |
| --- | --- |
| 10.6 | 100 |
| 33.4 | 97 |
| 31.4 | 88 |
| 31.1 | 87 |
| 29.9 | 78 |
| 32.2 | 58 |
| 37.0 | 57 |
| 36.3 | 49 |
| 36.9 | 44 |
| 43.2 | 39 |
| 67.4 | 26 |
| 42.0 | 24 |

=====

Calculated powder diffraction line list
Compound: Pr6Cd2Os
Radiation: λ = 1.5418 Å (Cu Kα)
Structure: a structure optimized by DFT (PBE)

Atomic structure:
Lattice parameters (Å, degrees): 7.131 7.630 12.999 90.00 122.44 90.00
Positions (direct):
Pr: 0.152 0.184 0.459
Pr: 0.152 0.316 0.959
Pr: 0.283 0.696 0.459
Pr: 0.283 0.804 0.959
Pr: 0.344 0.503 0.748
Pr: 0.344 0.997 0.248
Pr: 0.656 0.003 0.752
Pr: 0.656 0.497 0.252
Pr: 0.717 0.196 0.041
Pr: 0.717 0.304 0.541
Pr: 0.848 0.684 0.041
Pr: 0.848 0.816 0.541
Cd: 0.200 0.092 0.750
Cd: 0.200 0.408 0.250
Cd: 0.800 0.592 0.750
Cd: 0.800 0.908 0.250
Os: 0.000 0.000 0.000
Os: 0.000 0.500 0.500

Top 12 peaks for 2θ = 10–90°, by intensity:
| Position (°2θ) | intensity |
| --- | --- |
| 28.9 | 100 |
| 32.7 | 91 |
| 28.5 | 79 |
| 34.4 | 65 |
| 27.8 | 55 |
| 27.2 | 54 |
| 37.5 | 54 |
| 50.5 | 42 |
| 29.7 | 41 |
| 34.0 | 40 |
| 14.1 | 39 |
| 27.6 | 39 |

=====

Calculated powder diffraction line list
Compound: Pr6CdOs
Radiation: λ = 1.5418 Å (Cu Kα)
Structure: a structure optimized by DFT (PBE)

Atomic structure:
Lattice parameters (Å, degrees): 6.737 6.737 6.729 98.98 98.98 106.11
Positions (direct):
Pr: 0.051 0.681 0.718
Pr: 0.278 0.278 0.838
Pr: 0.319 0.949 0.282
Pr: 0.681 0.051 0.718
Pr: 0.722 0.722 0.162
Pr: 0.949 0.319 0.282
Cd: 0.500 0.500 0.500
Os: 0.000 0.000 0.000

Top 12 peaks for 2θ = 10–90°, by intensity:
| Position (°2θ) | intensity |
| --- | --- |
| 32.0 | 100 |
| 34.6 | 48 |
| 23.3 | 40 |
| 35.2 | 31 |
| 29.6 | 31 |
| 32.2 | 29 |
| 21.6 | 28 |
| 21.4 | 26 |
| 49.6 | 25 |
| 54.7 | 24 |
| 14.0 | 22 |
| 28.1 | 20 |

=====

Calculated powder diffraction line list
Compound: CdOs2Ru
Radiation: λ = 1.5418 Å (Cu Kα)
Structure: a structure optimized by DFT (PBE)

Atomic structure:
Lattice parameters (Å, degrees): 2.795 2.795 7.968 90.00 90.00 90.00
Positions (direct):
Cd: 0.000 0.000 0.000
Os: 0.000 0.000 0.501
Os: 0.500 0.500 0.278
Ru: 0.500 0.500 0.729

Top 12 peaks for 2θ = 10–90°, by intensity:
| Position (°2θ) | intensity |
| --- | --- |
| 39.4 | 100 |
| 45.9 | 34 |
| 11.1 | 29 |
| 80.5 | 25 |
| 66.7 | 18 |
| 45.5 | 14 |
| 67.0 | 11 |
| 84.7 | 10 |
| 80.0 | 9 |
| 47.2 | 8 |
| 47.4 | 4 |
| 76.8 | 4 |

=====

Calculated powder diffraction line list
Compound: CdSb2Os
Radiation: λ = 1.5418 Å (Cu Kα)
Structure: a structure optimized by DFT (PBE)

Atomic structure:
Lattice parameters (Å, degrees): 3.975 3.975 8.328 92.08 92.08 48.54
Positions (direct):
Cd: 0.000 0.000 0.000
Sb: 0.206 0.206 0.690
Sb: 0.794 0.794 0.310
Os: 0.500 0.500 0.500

Top 12 peaks for 2θ = 10–90°, by intensity:
| Position (°2θ) | intensity |
| --- | --- |
| 32.1 | 100 |
| 10.6 | 43 |
| 47.8 | 23 |
| 44.3 | 22 |
| 33.4 | 15 |
| 37.4 | 13 |
| 56.3 | 11 |
| 66.3 | 10 |
| 79.0 | 9 |
| 67.1 | 8 |
| 45.0 | 7 |
| 73.8 | 6 |

=====

Calculated powder diffraction line list
Compound: CdSi2Os
Radiation: λ = 1.5418 Å (Cu Kα)
Structure: a structure optimized by DFT (PBE)

Atomic structure:
Lattice parameters (Å, degrees): 4.328 4.328 5.256 97.39 97.39 41.97
Positions (direct):
Cd: 0.000 0.000 0.000
Si: 0.230 0.230 0.687
Si: 0.770 0.770 0.313
Os: 0.500 0.500 0.500

Top 12 peaks for 2θ = 10–90°, by intensity:
| Position (°2θ) | intensity |
| --- | --- |
| 36.3 | 100 |
| 22.2 | 83 |
| 34.7 | 55 |
| 46.4 | 52 |
| 38.6 | 42 |
| 34.5 | 32 |
| 45.3 | 27 |
| 44.0 | 26 |
| 17.0 | 23 |
| 50.1 | 22 |
| 70.8 | 20 |
| 60.9 | 19 |